CeHo3Tl4: calculated X-ray diffraction stick pattern (Cu Kα, 1.54184 Å), based on a DFT-relaxed cell (PBE, Alexandria).

Structure:
```
CeHo3Tl4
1.0
10.802 0.000 0.000
0.000 7.615 0.000
0.000 0.000 5.399
Ce Ho Tl
2 6 8
Cartesian
0.000 0.000 0.000
5.401 0.000 0.000
0.000 3.808 0.000
2.700 0.000 2.682
2.700 3.808 2.680
5.401 3.808 0.000
8.101 0.000 2.717
8.101 3.808 2.720
0.000 1.962 2.700
0.000 5.653 2.700
2.700 1.961 5.377
2.700 5.654 5.377
5.401 1.962 2.700
5.401 5.653 2.700
8.101 1.961 0.022
8.101 5.654 0.022
```

Most intense lines, 2θ from 10° to 90°, in order of falling intensity:
| 2theta | d_spacing | I (rel.) |
| --- | --- | --- |
| 33.21 | 2.698 | 100 |
| 59.33 | 1.558 | 32 |
| 47.63 | 1.909 | 12 |
| 79.36 | 1.207 | 11 |
| 69.76 | 1.348 | 8 |
| 59.40 | 1.556 | 6 |
| 47.77 | 1.904 | 6 |
| 79.59 | 1.204 | 5 |
| 88.86 | 1.101 | 4 |
| 69.64 | 1.350 | 4 |

AcBe2N2: calculated X-ray diffraction stick pattern (Cu Kα, 1.54184 Å), based on a DFT-relaxed cell (PBE, Alexandria).

Structure:
```
AcBe2N2
1.0
-2.774 2.774 4.602
2.774 -2.774 4.602
2.774 2.774 -4.602
Ac Be N
2 4 4
Cartesian
2.774 1.387 1.150
0.000 1.387 3.451
0.000 0.000 0.000
1.387 1.387 -2.301
1.387 -1.387 2.301
0.000 2.774 0.000
2.774 1.387 -1.587
0.000 1.387 0.714
2.774 1.387 3.888
0.000 1.387 6.189
```

Most intense lines, 2θ from 10° to 90°, in order of falling intensity:
| 2theta | d_spacing | I (rel.) |
| --- | --- | --- |
| 18.68 | 4.751 | 100 |
| 29.93 | 2.985 | 62 |
| 37.55 | 2.395 | 44 |
| 32.28 | 2.774 | 41 |
| 33.38 | 2.685 | 38 |
| 47.11 | 1.929 | 25 |
| 56.11 | 1.639 | 24 |
| 51.61 | 1.771 | 19 |
| 46.29 | 1.961 | 14 |
| 62.20 | 1.493 | 12 |

SrLaAlCuO5: calculated X-ray diffraction stick pattern (Cu Kα, 1.54184 Å), based on a DFT-relaxed cell (PBE, Alexandria).

Structure:
```
SrLaAlCuO5
1.0
8.072 0.000 0.000
0.000 11.083 0.000
0.000 0.000 5.481
Sr La Al Cu O
4 4 4 4 20
Cartesian
1.937 1.039 1.370
1.937 4.503 4.111
6.135 6.580 1.370
6.135 10.044 4.111
2.495 7.027 1.370
2.495 9.597 4.111
5.577 1.485 1.370
5.577 4.056 4.111
0.079 1.766 4.111
0.079 3.776 1.370
7.993 7.307 4.111
7.993 9.317 1.370
3.849 1.404 4.111
3.849 4.138 1.370
4.223 6.945 4.111
4.223 9.679 1.370
0.581 2.771 0.000
0.581 2.771 2.741
0.989 0.264 4.111
0.989 5.278 1.370
1.692 7.174 4.111
1.692 9.450 1.370
3.831 2.771 0.000
3.831 2.771 2.741
4.036 0.000 0.000
4.036 0.000 2.741
4.036 5.541 0.000
4.036 5.541 2.741
4.240 8.312 0.000
4.240 8.312 2.741
6.380 1.633 4.111
6.380 3.909 1.370
7.082 5.805 4.111
7.082 10.819 1.370
7.491 8.312 0.000
7.491 8.312 2.741
```

Most intense lines, 2θ from 10° to 90°, in order of falling intensity:
| 2theta | d_spacing | I (rel.) |
| --- | --- | --- |
| 31.92 | 2.803 | 100 |
| 10.96 | 8.072 | 33 |
| 32.68 | 2.741 | 33 |
| 46.61 | 1.948 | 28 |
| 32.31 | 2.771 | 20 |
| 40.75 | 2.214 | 19 |
| 57.84 | 1.594 | 18 |
| 22.82 | 3.897 | 17 |
| 57.36 | 1.606 | 15 |
| 36.84 | 2.440 | 13 |